1.
Structure and theoretical X-ray diffraction stick pattern of InGa3Au2 (a structure optimized by DFT (GGA-PBE); a wavelength of 1.5418 Å).
Kinematic intensities with the Lorentz-polarization factor, no thermal factor.

Structure:
```
12
Lattice="3.941 0.000 0.000 0.080 8.385 0.000 1.967 3.860 7.341" Properties=species:S:1:pos:R:3 pbc="T T T"
In 1.004 2.082 1.967
In 4.984 10.163 5.375
Ga 1.057 7.153 2.959
Ga 2.970 4.169 6.360
Ga 2.992 7.707 6.146
Ga 2.996 4.538 1.195
Ga 3.018 8.076 0.982
Ga 4.931 5.093 4.382
Au 1.020 6.189 0.425
Au 2.968 3.504 3.670
Au 3.021 8.741 3.672
Au 4.968 6.056 6.917
```

Largest 10 diffraction maxima, sorted by position, 10° ≤ 2θ ≤ 90°:
2θ/deg, Rel. int.
23.98, 49
24.92, 44
31.73, 44
31.84, 47
32.08, 44
35.43, 100
40.83, 41
41.26, 42
41.86, 71
46.06, 69



2.
Structure and theoretical X-ray diffraction stick pattern of In3GaAu4 (a structure optimized by DFT (GGA-PBE); a wavelength of 1.5418 Å).
Kinematic intensities with the Lorentz-polarization factor, no thermal factor.

Structure:
```
16
Lattice="6.402 0.000 0.000 0.000 7.778 0.000 -2.274 0.000 7.211" Properties=species:S:1:pos:R:3 pbc="T T T"
In -0.568 0.924 1.803
In -1.705 2.929 5.408
In -0.568 4.849 1.803
In -1.705 6.854 5.408
In 2.633 2.956 1.803
In 1.496 4.822 5.408
Ga 1.496 0.947 5.408
Ga 2.633 6.831 1.803
Au 0.504 2.797 3.663
Au 1.641 4.981 0.058
Au -0.508 0.915 7.206
Au 0.629 6.863 3.601
Au 3.500 0.915 3.610
Au 4.637 6.863 0.004
Au 2.487 2.797 7.152
Au 3.624 4.981 3.547
```

Largest 10 diffraction maxima, sorted by position, 10° ≤ 2θ ≤ 90°:
2θ/deg, Rel. int.
28.01, 12
31.74, 100
32.22, 48
42.90, 44
44.27, 20
46.71, 17
48.67, 28
50.63, 16
57.88, 17
66.32, 12



3.
Structure and theoretical X-ray diffraction stick pattern of K2In3GaAu4 (a structure optimized by DFT (GGA-PBE); a wavelength of 1.5418 Å).
Kinematic intensities with the Lorentz-polarization factor, no thermal factor.

Structure:
```
10
Lattice="5.034 0.000 0.000 0.000 5.034 0.000 0.000 0.000 10.390" Properties=species:S:1:pos:R:3 pbc="T T T"
K 0.000 2.517 2.538
K 2.517 0.000 7.851
In 0.000 2.517 9.140
In 2.517 0.000 1.250
In 2.517 2.517 5.195
Ga 0.000 0.000 5.195
Au 0.000 0.000 0.000
Au 0.000 2.517 6.364
Au 2.517 0.000 4.026
Au 2.517 2.517 0.000
```

Largest 10 diffraction maxima, sorted by position, 10° ≤ 2θ ≤ 90°:
2θ/deg, Rel. int.
17.07, 59
19.59, 58
30.44, 63
31.35, 60
35.67, 100
39.79, 30
43.11, 88
48.21, 36
51.33, 35
69.22, 43



4.
Structure and theoretical X-ray diffraction stick pattern of La3InGa2Au6 (a structure optimized by DFT (GGA-PBE); a wavelength of 1.5418 Å).
Kinematic intensities with the Lorentz-polarization factor, no thermal factor.

Structure:
```
12
Lattice="6.291 0.000 0.000 -3.146 5.448 0.000 0.000 0.000 8.630" Properties=species:S:1:pos:R:3 pbc="T T T"
La 0.000 0.000 0.000
La 0.000 3.632 5.478
La 3.146 1.816 3.152
In 0.000 0.000 4.315
Ga 0.000 3.632 0.144
Ga 3.146 1.816 8.486
Au 0.000 1.981 2.341
Au -1.430 4.458 2.341
Au 1.715 0.990 6.289
Au 1.430 4.458 2.341
Au 4.576 0.990 6.289
Au 3.146 3.468 6.289
```

Largest 10 diffraction maxima, sorted by position, 10° ≤ 2θ ≤ 90°:
2θ/deg, Rel. int.
19.27, 20
20.58, 27
34.53, 100
35.30, 54
39.11, 45
45.88, 28
54.84, 15
58.70, 25
62.33, 14
74.66, 14



5.
Structure and theoretical X-ray diffraction stick pattern of NaInGaAu (a structure optimized by DFT (GGA-PBE); a wavelength of 1.5418 Å).
Kinematic intensities with the Lorentz-polarization factor, no thermal factor.

Structure:
```
4
Lattice="4.103 -2.372 0.000 4.103 2.372 0.000 -0.057 0.000 5.028" Properties=species:S:1:pos:R:3 pbc="T T T"
Na 0.000 0.000 0.000
In 2.704 0.000 2.649
Ga 5.468 0.000 1.423
Au 5.409 0.000 3.936
```

Largest 10 diffraction maxima, sorted by position, 10° ≤ 2θ ≤ 90°:
2θ/deg, Rel. int.
17.64, 27
21.65, 100
27.97, 50
28.22, 25
37.96, 89
41.95, 22
42.05, 39
42.27, 38
44.12, 16
68.57, 17



6.
Structure and theoretical X-ray diffraction stick pattern of InGaRu2Au (a structure optimized by DFT (GGA-PBE); a wavelength of 1.5418 Å).
Kinematic intensities with the Lorentz-polarization factor, no thermal factor.

Structure:
```
5
Lattice="4.573 0.000 0.000 0.000 4.573 0.000 0.000 0.000 4.853" Properties=species:S:1:pos:R:3 pbc="T T T"
In 0.000 0.000 0.000
Ga 0.000 0.000 2.426
Ru 0.000 2.287 2.426
Ru 2.287 0.000 2.426
Au 2.287 2.287 0.000
```

Largest 10 diffraction maxima, sorted by position, 10° ≤ 2θ ≤ 90°:
2θ/deg, Rel. int.
26.79, 20
27.58, 13
33.29, 100
37.05, 33
39.41, 56
55.20, 41
56.95, 19
64.40, 17
67.59, 25
69.91, 20



7.
Structure and theoretical X-ray diffraction stick pattern of InGa2Sn2Au7 (a structure optimized by DFT (GGA-PBE); a wavelength of 1.5418 Å).
Kinematic intensities with the Lorentz-polarization factor, no thermal factor.

Structure:
```
12
Lattice="2.902 -3.618 0.000 2.902 3.618 0.000 0.000 0.000 11.632" Properties=species:S:1:pos:R:3 pbc="T T T"
In 0.000 0.000 0.000
Ga 2.902 0.000 3.388
Ga 2.902 0.000 8.244
Sn 0.000 0.000 4.030
Sn 0.000 0.000 7.602
Au 1.451 1.809 1.930
Au 1.451 1.809 9.702
Au 2.902 1.401 5.816
Au 1.451 -1.809 1.930
Au 1.451 -1.809 9.702
Au 2.902 0.000 0.000
Au 2.902 -1.401 5.816
```

Largest 10 diffraction maxima, sorted by position, 10° ≤ 2θ ≤ 90°:
2θ/deg, Rel. int.
31.78, 17
33.89, 100
34.54, 25
38.75, 25
39.81, 32
40.59, 31
44.08, 16
46.86, 20
65.37, 20
74.59, 21



8.
Structure and theoretical X-ray diffraction stick pattern of PrGa4Ir2Au (a structure optimized by DFT (GGA-PBE); a wavelength of 1.5418 Å).
Kinematic intensities with the Lorentz-polarization factor, no thermal factor.

Structure:
```
8
Lattice="2.173 1.254 8.919 -2.173 1.254 8.919 0.000 -2.509 8.919" Properties=species:S:1:pos:R:3 pbc="T T T"
Pr 0.000 0.000 0.000
Ga 0.000 0.000 3.344
Ga 0.000 0.000 10.659
Ga 0.000 0.000 16.096
Ga 0.000 0.000 23.412
Ir 0.000 0.000 6.132
Ir 0.000 0.000 20.624
Au 0.000 0.000 13.378
```

Largest 10 diffraction maxima, sorted by position, 10° ≤ 2θ ≤ 90°:
2θ/deg, Rel. int.
27.19, 47
35.92, 79
41.41, 15
41.56, 100
44.34, 34
56.08, 22
62.42, 17
72.16, 20
75.84, 17
77.82, 27



9.
Structure and theoretical X-ray diffraction stick pattern of PuGaIrAu (a structure optimized by DFT (GGA-PBE); a wavelength of 1.5418 Å).
Kinematic intensities with the Lorentz-polarization factor, no thermal factor.

Structure:
```
4
Lattice="0.000 3.371 3.371 3.371 0.000 3.371 3.371 3.371 0.000" Properties=species:S:1:pos:R:3 pbc="T T T"
Pu 0.000 0.000 0.000
Ga 3.371 3.371 3.371
Ir 1.685 1.685 1.685
Au 5.056 5.056 5.056
```

Largest 10 diffraction maxima, sorted by position, 10° ≤ 2θ ≤ 90°:
2θ/deg, Rel. int.
22.85, 12
26.44, 2
37.74, 100
44.58, 7
54.44, 18
59.80, 3
68.14, 36
72.91, 2
80.62, 12
85.15, 2



10.
Structure and theoretical X-ray diffraction stick pattern of Th2Ga4IrAu3 (a structure optimized by DFT (GGA-PBE); a wavelength of 1.5418 Å).
Kinematic intensities with the Lorentz-polarization factor, no thermal factor.

Structure:
```
10
Lattice="4.403 0.000 0.000 0.000 4.403 0.000 0.000 0.000 10.436" Properties=species:S:1:pos:R:3 pbc="T T T"
Th 0.000 2.201 2.455
Th 2.201 0.000 7.981
Ga 0.000 0.000 5.218
Ga 0.000 2.201 9.110
Ga 2.201 0.000 1.326
Ga 2.201 2.201 5.218
Ir 2.201 2.201 0.000
Au 0.000 0.000 0.000
Au 0.000 2.201 6.612
Au 2.201 0.000 3.823
```

Largest 10 diffraction maxima, sorted by position, 10° ≤ 2θ ≤ 90°:
2θ/deg, Rel. int.
26.49, 19
32.81, 59
33.52, 100
41.00, 65
45.35, 18
48.25, 26
53.47, 30
59.37, 22
65.13, 21
69.94, 31



11.
Structure and theoretical X-ray diffraction stick pattern of K2Ga3Au4 (a structure optimized by DFT (GGA-PBE); a wavelength of 1.5418 Å).
Kinematic intensities with the Lorentz-polarization factor, no thermal factor.

Structure:
```
18
Lattice="2.993 -8.789 0.000 2.993 8.789 0.000 0.000 0.000 8.030" Properties=species:S:1:pos:R:3 pbc="T T T"
K 2.993 6.867 7.163
K 2.993 1.922 3.148
K 2.993 -1.922 4.882
K 2.993 -6.867 0.867
Ga 0.000 0.000 4.015
Ga 1.497 3.620 6.023
Ga 1.497 -3.620 2.008
Ga 2.993 0.000 0.000
Ga 4.490 3.620 6.023
Ga 4.490 -3.620 2.008
Au 1.497 0.950 6.023
Au 2.993 4.973 4.251
Au 2.993 3.816 0.236
Au 1.497 -0.950 2.008
Au 4.490 0.950 6.023
Au 2.993 -3.816 7.794
Au 2.993 -4.973 3.779
Au 4.490 -0.950 2.008
```

Largest 10 diffraction maxima, sorted by position, 10° ≤ 2θ ≤ 90°:
2θ/deg, Rel. int.
14.94, 53
20.21, 39
24.37, 57
31.56, 100
32.53, 32
33.54, 43
37.48, 98
42.94, 28
44.73, 33
45.17, 33